Diffraction record for LiMn2P2HO8. The X-ray powder pattern is calculated, not measured: it uses a crystal structure in the Materials Project, relaxed with PBE+U and Cu Ka.
Intensities are scaled so that the largest is 100.

Largest 6 diffraction maxima, in order of falling intensity, 2θ from 10° to 90°:
Position (°2θ)	I/Imax
19.64	100
15.82	88
31.83	80
27.47	79
20.94	55
22.02	55

Atomic structure:
abc: 5.168 8.756 8.898
angles: 94.84 105.42 101.76
Atoms (fractional coordinates):
Li (0.114, 0.305, 0.297)
Li (0.886, 0.695, 0.703)
Mn (0.171, 0.096, 0.878)
Mn (0.273, 0.717, 0.395)
Mn (0.727, 0.283, 0.605)
Mn (0.829, 0.904, 0.122)
P (0.365, 0.437, 0.750)
P (0.400, 0.072, 0.256)
P (0.600, 0.928, 0.744)
P (0.635, 0.563, 0.250)
H (0.400, 0.623, 0.939)
H (0.600, 0.377, 0.061)
O (0.126, 0.367, 0.600)
O (0.197, 0.126, 0.117)
O (0.238, 0.901, 0.263)
O (0.289, 0.588, 0.825)
O (0.318, 0.929, 0.768)
O (0.360, 0.515, 0.291)
O (0.395, 0.322, 0.874)
O (0.422, 0.186, 0.404)
O (0.578, 0.814, 0.596)
O (0.605, 0.678, 0.126)
O (0.640, 0.485, 0.709)
O (0.682, 0.071, 0.232)
O (0.711, 0.412, 0.175)
O (0.762, 0.099, 0.737)
O (0.803, 0.874, 0.883)
O (0.874, 0.633, 0.400)